Entry 1:
Starting from a PBE-relaxed structure, the X-ray powder pattern of Zr3Ni2As4Pd2 was calculated for a wavelength of 1.5418 Å.

Cell and atoms:
```
data_Zr3Ni2As4Pd2
_chemical_formula_sum 'Zr3 Ni2 As4 Pd2'
_cell_length_a 6.5803
_cell_length_b 3.8911
_cell_length_c 7.6050
_cell_angle_alpha 90.00
_cell_angle_beta 90.65
_cell_angle_gamma 90.00
_symmetry_space_group_name_H-M 'P 1 m 1'
_symmetry_Int_Tables_number 6
loop_
_symmetry_equiv_pos_as_xyz
'x,y,z'
'x,-y,z'
loop_
_atom_site_label
_atom_site_type_symbol
_atom_site_fract_x
_atom_site_fract_y
_atom_site_fract_z
Zr1 Zr 0.0000 0.0000 0.0000
Zr2 Zr 0.0626 0.5000 0.3729
Zr3 Zr 0.5045 0.0000 0.8733
Ni1 Ni 0.1670 0.5000 0.7445
Ni2 Ni 0.6846 0.5000 0.1301
As1 As 0.2922 0.0000 0.5771
As2 As 0.2933 0.5000 0.0523
As3 As 0.7697 0.0000 0.3024
As4 As 0.7843 0.5000 0.8150
Pd1 Pd 0.3849 0.0000 0.2582
Pd2 Pd 0.8969 0.0000 0.6215
```

Top 6 peaks for 2θ from 10° to 90°, low angle first:
2θ 35.6, I 58
2θ 35.8, I 100
2θ 37.6, I 73
2θ 37.8, I 77
2θ 42.6, I 88
2θ 46.7, I 68

***

Entry 2:
Starting from a PBE-relaxed structure, the X-ray powder pattern of Cs2Ag3Te4 was calculated for a wavelength of 1.5418 Å.

Cell and atoms:
```
data_Cs2Ag3Te4
_chemical_formula_sum 'Cs8 Ag12 Te16'
_cell_length_a 7.1296
_cell_length_b 12.0388
_cell_length_c 15.2235
_cell_angle_alpha 90.00
_cell_angle_beta 90.00
_cell_angle_gamma 90.00
_symmetry_space_group_name_H-M 'F m m m'
_symmetry_Int_Tables_number 69
_symmetry_space_group_name_Hall '-F 2 2'
loop_
_atom_site_label
_atom_site_type_symbol
_atom_site_fract_x
_atom_site_fract_y
_atom_site_fract_z
Cs1 Cs 0.0000 0.0000 0.1499
Ag1 Ag 0.0000 0.0000 0.5000
Ag2 Ag 0.2500 0.2500 0.0000
Te1 Te 0.0000 0.1638 0.3717
```

Top 6 peaks for 2θ from 10° to 90°, low angle first:
2θ 11.6, I 27
2θ 25.0, I 34
2θ 26.1, I 43
2θ 31.1, I 100
2θ 34.5, I 47
2θ 48.0, I 29

***

Entry 3:
Starting from a PBE-relaxed structure, the X-ray powder pattern of GdTm2Hg was calculated for a wavelength of 1.5418 Å.

Cell and atoms:
```
data_GdTm2Hg
_chemical_formula_sum 'Gd4 Tm8 Hg4'
_cell_length_a 6.8039
_cell_length_b 11.8634
_cell_length_c 5.3811
_cell_angle_alpha 90.00
_cell_angle_beta 90.00
_cell_angle_gamma 90.00
_symmetry_space_group_name_H-M 'C m c m'
_symmetry_Int_Tables_number 63
_symmetry_space_group_name_Hall '-C 2c 2'
loop_
_atom_site_label
_atom_site_type_symbol
_atom_site_fract_x
_atom_site_fract_y
_atom_site_fract_z
Gd1 Gd 0.0000 0.1751 0.2500
Tm1 Tm 0.2435 0.4165 0.2500
Hg1 Hg 0.0000 0.3371 0.7500
```

Top 6 peaks for 2θ from 10° to 90°, low angle first:
2θ 30.3, I 25
2θ 33.3, I 38
2θ 34.5, I 52
2θ 34.7, I 100
2θ 60.4, I 31
2θ 64.6, I 22

***

Entry 4:
Starting from a PBE-relaxed structure, the X-ray powder pattern of Li4NbAsO6 was calculated for a wavelength of 1.5418 Å.

Cell and atoms:
```
data_Li4NbAsO6
_chemical_formula_sum 'Li8 Nb2 As2 O12'
_cell_length_a 5.2579
_cell_length_b 9.1546
_cell_length_c 5.1554
_cell_angle_alpha 90.00
_cell_angle_beta 110.24
_cell_angle_gamma 90.00
_symmetry_space_group_name_H-M 'C 1 2 1'
_symmetry_Int_Tables_number 5
loop_
_symmetry_equiv_pos_as_xyz
'x,y,z'
'-x,y,-z'
'x+1/2,y+1/2,z'
'-x+1/2,y+1/2,-z'
loop_
_atom_site_label
_atom_site_type_symbol
_atom_site_fract_x
_atom_site_fract_y
_atom_site_fract_z
Li1 Li 0.0000 0.0000 0.0000
Li2 Li 0.0000 0.1469 0.5000
Li3 Li 0.0000 0.3114 0.0000
Li4 Li 0.0000 0.6392 0.0000
Nb1 Nb 0.0000 0.8135 0.5000
As1 As 0.0000 0.4746 0.5000
O1 O 0.2354 0.6611 0.7442
O2 O 0.2422 0.9738 0.7366
O3 O 0.2476 0.8219 0.2709
```

Top 6 peaks for 2θ from 10° to 90°, low angle first:
2θ 18.3, I 100
2θ 20.5, I 36
2θ 23.0, I 28
2θ 34.6, I 52
2θ 42.3, I 37
2θ 42.4, I 62